Diffraction record for K2Tb4S3O2. The X-ray diffraction stick pattern is theoretical, not measured: it uses a structure optimized by DFT (GGA-PBE) and Cu Kα, 1.54184 Å.
Lines closer than 0.1° are merged.

Largest 10 diffraction maxima, by angle, 10° ≤ 2θ ≤ 90°:
| two_theta | I_rel |
| --- | --- |
| 22.65 | 47.9 |
| 27.60 | 37.3 |
| 28.64 | 73.2 |
| 30.36 | 26.2 |
| 36.00 | 100.0 |
| 39.43 | 61.5 |
| 41.49 | 39.5 |
| 45.95 | 30.7 |
| 50.56 | 25.3 |
| 69.31 | 47.4 |

Structure:
```
data_K2Tb4S3O2
_cell_length_a 12.212
_cell_length_b 12.212
_cell_length_c 12.212
_cell_angle_alpha 158.43
_cell_angle_beta 158.43
_cell_angle_gamma 30.69
_space_group_name_H-M_alt 'P 1'
_space_group_IT_number 1
_space_group_name_Hall 'P 1'
loop_
_atom_site_label
_atom_site_fract_x
_atom_site_fract_y
_atom_site_fract_z
K1 0.203 0.203 0.000
K2 0.797 0.797 0.000
Tb1 0.074 0.574 0.500
Tb2 0.426 0.926 0.500
Tb3 0.574 0.074 0.500
Tb4 0.926 0.426 0.500
S1 0.346 0.346 0.000
S2 0.500 0.500 0.000
S3 0.654 0.654 0.000
O1 0.093 0.093 0.000
O2 0.907 0.907 0.000
```